Calculated powder diffractogram
Compound: Na2Be2MoO6
Radiation: a wavelength of 1.5418 Å
Structure: a PBE+U-relaxed structure
Kinematic intensities with the Lorentz-polarization factor, no thermal factor.

Most intense lines, 2θ = 5–70°, most intense first:
24.87°, I = 100, (0 1 1)
14.94°, I = 65, (0 0 1)
36.31°, I = 44, (1 0 2)
19.76°, I = 42, (1 0 0)
43.06°, I = 28, (2 0 1)
34.58°, I = 23, (1 1 0)
56.36°, I = 20, (3 -2 1)
37.86°, I = 19, (2 -1 1)
51.01°, I = 19, (0 2 2)
58.74°, I = 19, (1 1 3)

Cell and atoms:
Lattice parameters (Å, degrees): 5.187 5.187 5.929 90.00 90.00 120.00
Fractional coordinates of all 11 atoms:
Na 0.333 0.667 0.337
Na 0.667 0.333 0.663
Be 0.333 0.667 0.827
Be 0.667 0.333 0.173
Mo 0.000 0.000 0.000
O 0.086 0.746 0.809
O 0.254 0.339 0.809
O 0.339 0.086 0.191
O 0.661 0.914 0.809
O 0.746 0.661 0.191
O 0.914 0.254 0.191